NdMgInSn: computed X-ray diffraction stick pattern (CuKα), based on a crystal structure in Alexandria, relaxed with GGA-PBE.
Kinematic intensities with the Lorentz-polarization factor, no thermal factor.

Most intense lines, 10° ≤ 2θ ≤ 90°, by intensity:
hkl 1 1 1, 33.12°, intensity 100
hkl 0 0 2, 37.36°, intensity 18
hkl 0 2 0, 38.27°, intensity 17
hkl 2 0 0, 39.63°, intensity 15
hkl 1 1 3, 64.71°, intensity 14
hkl 1 3 1, 65.94°, intensity 14

Atomic structure:
a = 4.549 Å, b = 4.704 Å, c = 4.814 Å
α = 90.00°, β = 90.00°, γ = 90.00°
Space group Pmmm (No. 47)
One atom of each set of equivalent atoms:
Nd 0.000 0.000 0.000 [1 per cell]
Mg 0.000 0.500 0.500 [1 per cell]
In 0.500 0.000 0.500 [1 per cell]
Sn 0.500 0.500 0.000 [1 per cell]

Pr5Sm5Tm2: computed X-ray diffraction stick pattern (CuKα), based on a crystal structure in Alexandria, relaxed with GGA-PBE.
Kinematic intensities with the Lorentz-polarization factor, no thermal factor.

Most intense lines, 10° ≤ 2θ ≤ 90°, by intensity:
hkl 3 1 1, 30.05°, intensity 100
hkl 0 2 0, 34.84°, intensity 51
hkl 3 3 1, 59.53°, intensity 43
hkl 0 2 4, 50.10°, intensity 36
hkl 3 3 5, 81.45°, intensity 18
hkl 6 2 2, 62.47°, intensity 12

Atomic structure:
a = 15.460 Å, b = 5.147 Å, c = 11.515 Å
α = 90.00°, β = 116.54°, γ = 90.00°
Space group C2/m (No. 12)
One atom of each set of equivalent atoms:
Pr 0.000 0.000 0.000 [2 per cell]
Pr 0.164 0.000 0.499 [4 per cell]
Pr 0.248 0.500 0.750 [4 per cell]
Sm 0.000 0.500 0.500 [2 per cell]
Sm 0.081 0.500 0.249 [4 per cell]
Sm 0.167 0.500 0.000 [4 per cell]
Tm 0.084 0.000 0.752 [4 per cell]

Tb8Y6Mg: computed X-ray diffraction stick pattern (CuKα), based on a crystal structure in Alexandria, relaxed with GGA-PBE.
Kinematic intensities with the Lorentz-polarization factor, no thermal factor.

Most intense lines, 10° ≤ 2θ ≤ 90°, by intensity:
hkl 3 -1 1, 32.36°, intensity 100
hkl 1 2 0, 29.00°, intensity 24
hkl 1 1 2, 34.24°, intensity 21
hkl 2 4 1, 62.08°, intensity 20
hkl 0 0 2, 28.31°, intensity 18
hkl 4 1 0, 51.41°, intensity 16

Atomic structure:
a = 9.4057 Å, b = 9.4057 Å, c = 6.3050 Å
α = 90.00°, β = 90.00°, γ = 120.00°
Space group P-3 (No. 147)
One atom of each set of equivalent atoms:
Tb 0.0391 0.7704 0.1842 [6 per cell]
Tb 0.3333 0.6667 0.1804 [2 per cell]
Y 0.0921 0.6418 0.6818 [6 per cell]
Mg 0.0000 0.0000 0.5000 [1 per cell]

Nd4MgZn3: computed X-ray diffraction stick pattern (CuKα), based on a crystal structure in Alexandria, relaxed with GGA-PBE.
Kinematic intensities with the Lorentz-polarization factor, no thermal factor.

Most intense lines, 10° ≤ 2θ ≤ 90°, by intensity:
hkl 1 1 2, 33.94°, intensity 100
hkl 0 2 0, 34.05°, intensity 49
hkl 1 3 2, 60.88°, intensity 35
hkl 0 1 2, 23.90°, intensity 21
hkl 2 2 0, 60.67°, intensity 18
hkl 0 2 4, 48.92°, intensity 17

Atomic structure:
a = 3.747 Å, b = 5.265 Å, c = 10.534 Å
α = 90.00°, β = 90.00°, γ = 90.00°
Space group Pmmm (No. 47)
One atom of each set of equivalent atoms:
Nd 0.000 0.000 0.000 [1 per cell]
Nd 0.000 0.000 0.500 [1 per cell]
Nd 0.000 0.500 0.239 [2 per cell]
Mg 0.500 0.500 0.500 [1 per cell]
Zn 0.500 0.000 0.256 [2 per cell]
Zn 0.500 0.500 0.000 [1 per cell]